AgSb2Br8: simulated powder diffraction line list (copper Kα), based on a DFT-relaxed cell (PBE, Alexandria).
Intensities are scaled so that the largest is 100.

Cell and atoms:
abc: 7.871 7.871 7.141
angles: 96.02 96.02 92.03
Positions (direct):
Ag  0.000  0.000  0.000
Sb  0.286  0.286  0.448
Sb  0.714  0.714  0.552
Br  0.011  0.681  0.735
Br  0.171  0.171  0.776
Br  0.319  0.989  0.265
Br  0.458  0.458  0.220
Br  0.542  0.542  0.780
Br  0.681  0.011  0.735
Br  0.829  0.829  0.224
Br  0.989  0.319  0.265

Most intense lines, 2θ from 15° to 90°, in order of falling intensity:
2θ 27.26, I 100.0
2θ 15.65, I 98.7
2θ 33.70, I 71.7
2θ 15.97, I 42.4
2θ 38.94, I 39.4
2θ 48.56, I 36.0
2θ 19.12, I 35.6
2θ 28.61, I 35.2
2θ 42.62, I 24.7
2θ 48.20, I 22.0
2θ 45.10, I 21.9
2θ 52.44, I 18.7


ScTlAg2Br6: simulated powder diffraction line list (copper Kα), based on a DFT-relaxed cell (PBE, Alexandria).
Intensities are scaled so that the largest is 100.

Cell and atoms:
abc: 7.302 7.307 7.936
angles: 90.02 117.36 119.96
Positions (direct):
Sc  0.000  0.000  0.000
Tl  0.039  0.520  0.560
Ag  0.623  0.811  0.434
Ag  0.674  0.337  0.011
Br  0.152  0.977  0.756
Br  0.155  0.768  0.219
Br  0.451  0.386  0.219
Br  0.582  0.605  0.756
Br  0.779  0.175  0.757
Br  0.832  0.064  0.219

Most intense lines, 2θ from 15° to 90°, in order of falling intensity:
2θ 36.31, I 100.0
2θ 27.79, I 95.2
2θ 42.88, I 57.6
2θ 22.54, I 48.1
2θ 16.54, I 36.8
2θ 28.56, I 30.9
2θ 41.80, I 27.9
2θ 33.43, I 26.1
2θ 24.37, I 23.6
2θ 51.88, I 19.5
2θ 57.41, I 18.5
2θ 47.59, I 17.8


AgSeBr2: simulated powder diffraction line list (copper Kα), based on a DFT-relaxed cell (PBE, Alexandria).
Intensities are scaled so that the largest is 100.

Cell and atoms:
abc: 8.501 8.272 8.493
angles: 90.00 109.90 90.00
Positions (direct):
Ag  0.046  0.134  0.174
Ag  0.046  0.366  0.674
Ag  0.954  0.634  0.326
Ag  0.954  0.866  0.826
Se  0.365  0.055  0.956
Se  0.365  0.445  0.456
Se  0.635  0.555  0.544
Se  0.635  0.945  0.044
Br  0.104  0.683  0.670
Br  0.104  0.817  0.170
Br  0.382  0.249  0.715
Br  0.382  0.251  0.215
Br  0.618  0.749  0.785
Br  0.618  0.751  0.285
Br  0.896  0.183  0.830
Br  0.896  0.317  0.330

Most intense lines, 2θ from 15° to 90°, in order of falling intensity:
2θ 15.42, I 100.0
2θ 33.45, I 48.8
2θ 30.37, I 35.7
2θ 24.74, I 34.5
2θ 22.25, I 30.7
2θ 31.13, I 28.5
2θ 23.80, I 24.8
2θ 35.00, I 20.9
2θ 41.81, I 20.5
2θ 42.79, I 18.1
2θ 45.32, I 17.6
2θ 43.52, I 15.4


Ag4Se2Br: simulated powder diffraction line list (copper Kα), based on a DFT-relaxed cell (PBE, Alexandria).
Intensities are scaled so that the largest is 100.

Cell and atoms:
abc: 8.004 8.062 8.074
angles: 60.79 60.32 60.31
Positions (direct):
Ag  0.208  0.264  0.263
Ag  0.235  0.737  0.736
Ag  0.236  0.291  0.736
Ag  0.237  0.736  0.291
Ag  0.763  0.264  0.709
Ag  0.764  0.709  0.264
Ag  0.765  0.263  0.264
Ag  0.792  0.736  0.737
Se  0.000  0.000  0.500
Se  0.000  0.500  0.000
Se  0.000  0.500  0.500
Se  0.500  0.500  0.500
Br  0.373  0.877  0.877
Br  0.627  0.123  0.123

Most intense lines, 2θ from 15° to 90°, in order of falling intensity:
2θ 44.93, I 100.0
2θ 31.30, I 85.4
2θ 31.40, I 42.7
2θ 41.16, I 40.0
2θ 26.87, I 36.9
2θ 27.23, I 36.3
2θ 44.38, I 26.0
2θ 45.32, I 24.0
2θ 40.88, I 23.0
2θ 26.00, I 19.7
2θ 22.03, I 15.3
2θ 25.72, I 15.0


Ag5Se2Br2: simulated powder diffraction line list (copper Kα), based on a DFT-relaxed cell (PBE, Alexandria).
Intensities are scaled so that the largest is 100.

Cell and atoms:
abc: 10.928 10.928 6.789
angles: 106.20 106.20 35.08
Positions (direct):
Ag  0.014  0.986  0.500
Ag  0.179  0.439  0.247
Ag  0.285  0.959  0.341
Ag  0.439  0.179  0.747
Ag  0.448  0.674  0.963
Ag  0.674  0.448  0.463
Ag  0.730  0.810  0.081
Ag  0.810  0.730  0.581
Ag  0.959  0.285  0.841
Ag  0.986  0.014  0.000
Se  0.046  0.454  0.862
Se  0.294  0.699  0.232
Se  0.454  0.046  0.362
Se  0.699  0.294  0.732
Br  0.123  0.659  0.597
Br  0.427  0.880  0.786
Br  0.659  0.123  0.097
Br  0.880  0.427  0.286

Most intense lines, 2θ from 15° to 90°, in order of falling intensity:
2θ 32.96, I 100.0
2θ 33.34, I 94.9
2θ 17.80, I 81.2
2θ 42.98, I 79.7
2θ 38.09, I 73.4
2θ 31.38, I 73.3
2θ 32.59, I 70.5
2θ 30.44, I 64.7
2θ 32.22, I 51.8
2θ 41.38, I 49.3
2θ 38.96, I 48.7
2θ 26.13, I 44.5


Ag12Se6Br: simulated powder diffraction line list (copper Kα), based on a DFT-relaxed cell (PBE, Alexandria).
Intensities are scaled so that the largest is 100.

Cell and atoms:
abc: 7.788 7.788 7.788
angles: 100.90 100.90 100.90
Positions (direct):
Ag  0.080  0.835  0.641
Ag  0.165  0.359  0.920
Ag  0.197  0.493  0.502
Ag  0.359  0.920  0.165
Ag  0.493  0.502  0.197
Ag  0.498  0.803  0.507
Ag  0.502  0.197  0.493
Ag  0.507  0.498  0.803
Ag  0.641  0.080  0.835
Ag  0.803  0.507  0.498
Ag  0.835  0.641  0.080
Ag  0.920  0.165  0.359
Se  0.192  0.611  0.207
Se  0.207  0.192  0.611
Se  0.389  0.793  0.808
Se  0.611  0.207  0.192
Se  0.793  0.808  0.389
Se  0.808  0.389  0.793
Br  0.000  0.000  0.000

Most intense lines, 2θ from 15° to 90°, in order of falling intensity:
2θ 40.98, I 100.0
2θ 28.23, I 71.7
2θ 24.13, I 69.9
2θ 32.15, I 57.6
2θ 36.24, I 48.4
2θ 44.37, I 45.5
2θ 25.69, I 39.0
2θ 39.32, I 37.5
2θ 52.50, I 29.7
2θ 38.54, I 27.5
2θ 70.68, I 24.6
2θ 34.83, I 24.0